[1]
For YSiBr4, a GGA-PBE-relaxed structure gives the calculated powder X-ray diffraction pattern in this record (copper Kα).

Atomic structure:
a = 8.756 Å, b = 8.756 Å, c = 8.756 Å
α = 90.00°, β = 90.00°, γ = 90.00°
Space group F-43m (No. 216)
One atom of each set of equivalent atoms:
Y 0.000 0.000 0.000 x4
Si 0.250 0.250 0.250 x4
Br 0.125 0.125 0.625 x16

Most intense lines, 10° ≤ 2θ ≤ 90°, by intensity:
| two_theta | intensity | h k l |
| --- | --- | --- |
| 34.0 | 100 | 3 1 1 |
| 35.5 | 51 | 2 2 2 |
| 54.5 | 33 | 3 3 3 |
| 59.7 | 29 | 4 4 0 |
| 17.5 | 22 | 1 1 1 |
| 85.1 | 21 | 7 3 1 |
| 71.5 | 19 | 6 2 2 |
| 28.8 | 18 | 2 2 0 |
| 70.5 | 11 | 5 3 3 |
| 41.2 | 10 | 4 0 0 |
| 51.1 | 7 | 4 2 2 |
| 45.1 | 6 | 3 3 1 |

---

[2]
For Y4Si2Br3, a GGA-PBE-relaxed structure gives the calculated powder X-ray diffraction pattern in this record (copper Kα).

Atomic structure:
a = 4.1319 Å, b = 4.1319 Å, c = 17.6591 Å
α = 90.00°, β = 90.00°, γ = 120.00°
Space group P-3m1 (No. 164)
One atom of each set of equivalent atoms:
Y 0.0000 0.0000 0.2091 x2
Y 0.3333 0.6667 0.3819 x2
Si 0.3333 0.6667 0.7003 x2
Br 0.0000 0.0000 0.5000 x1
Br 0.3333 0.6667 0.1089 x2

Most intense lines, 10° ≤ 2θ ≤ 90°, by intensity:
| two_theta | intensity | h k l |
| --- | --- | --- |
| 29.2 | 100 | 1 0 3 |
| 43.9 | 86 | 1 1 0 |
| 32.2 | 60 | 1 0 4 |
| 25.4 | 23 | 1 0 1 |
| 80.6 | 20 | 3 0 0 |
| 53.5 | 17 | 0 2 3 |
| 71.6 | 14 | 2 1 3 |
| 70.1 | 14 | 1 1 10 |
| 35.7 | 13 | 1 0 5 |
| 55.4 | 12 | 0 2 4 |
| 63.8 | 11 | 2 0 7 |
| 57.7 | 11 | 1 1 7 |

---

[3]
For Y3SiBr3, a GGA-PBE-relaxed structure gives the calculated powder X-ray diffraction pattern in this record (copper Kα).

Atomic structure:
a = 11.626 Å, b = 11.626 Å, c = 11.626 Å
α = 90.00°, β = 90.00°, γ = 90.00°
Space group I4_132 (No. 214)
One atom of each set of equivalent atoms:
Y 0.112 0.362 0.125 x24
Si 0.125 0.125 0.125 x8
Br 0.120 0.130 0.625 x24

Most intense lines, 10° ≤ 2θ ≤ 90°, by intensity:
| two_theta | intensity | h k l |
| --- | --- | --- |
| 30.8 | 100 | 4 0 0 |
| 44.1 | 69 | 4 4 0 |
| 28.7 | 28 | 3 2 1 |
| 72.8 | 27 | 8 4 0 |
| 54.7 | 23 | 4 4 4 |
| 81.0 | 20 | 8 4 4 |
| 36.2 | 14 | 3 3 2 |
| 18.7 | 12 | 2 1 1 |
| 64.1 | 10 | 8 0 0 |
| 58.3 | 10 | 7 2 1 |
| 62.9 | 8 | 7 3 2 |
| 10.8 | 7 | 1 1 0 |

---

[4]
For SmBr2, a GGA-PBE-relaxed structure gives the calculated powder X-ray diffraction pattern in this record (copper Kα).

Atomic structure:
a = 3.960 Å, b = 6.857 Å, c = 31.161 Å
α = 90.00°, β = 90.00°, γ = 90.00°
Space group C222_1 (No. 20)
One atom of each set of equivalent atoms:
Sm 0.242 0.001 0.123 x8
Br 0.242 0.332 0.937 x8
Br 0.242 0.333 0.816 x8

Most intense lines, 10° ≤ 2θ ≤ 90°, by intensity:
| two_theta | intensity | h k l |
| --- | --- | --- |
| 11.4 | 100 | 0 0 4 |
| 33.0 | 34 | 1 1 7 |
| 36.9 | 33 | 1 1 9 |
| 34.9 | 31 | 0 2 8 |
| 29.7 | 31 | 1 1 5 |
| 26.6 | 24 | 1 1 2 |
| 45.9 | 24 | 1 3 1 |
| 46.7 | 23 | 0 0 16 |
| 28.4 | 21 | 0 2 4 |
| 58.8 | 20 | 2 2 8 |
| 26.1 | 17 | 0 2 1 |
| 27.4 | 15 | 1 1 3 |

---

[5]
For Sr2SmBr6, a GGA-PBE-relaxed structure gives the calculated powder X-ray diffraction pattern in this record (copper Kα).

Atomic structure:
a = 7.316 Å, b = 7.316 Å, c = 12.968 Å
α = 90.00°, β = 90.00°, γ = 90.00°
Space group P4_2/mnm (No. 136)
One atom of each set of equivalent atoms:
Sr 0.000 0.000 0.176 x4
Sm 0.000 0.000 0.500 x2
Br 0.206 0.206 0.343 x8
Br 0.211 0.211 0.000 x4

Most intense lines, 10° ≤ 2θ ≤ 90°, by intensity:
| two_theta | intensity | h k l |
| --- | --- | --- |
| 26.9 | 100 | 1 1 3 |
| 34.4 | 95 | 2 1 3 |
| 17.1 | 92 | 1 1 0 |
| 42.6 | 62 | 3 0 3 |
| 34.7 | 59 | 2 2 0 |
| 73.0 | 29 | 5 2 3 |
| 55.4 | 28 | 2 2 6 |
| 27.3 | 27 | 2 1 0 |
| 44.4 | 26 | 3 1 3 |
| 23.9 | 24 | 1 0 3 |
| 41.8 | 22 | 0 0 6 |
| 67.6 | 17 | 4 3 3 |

---

[6]
For Sm3TeBr7, a GGA-PBE-relaxed structure gives the calculated powder X-ray diffraction pattern in this record (copper Kα).

Atomic structure:
a = 8.6532 Å, b = 8.6532 Å, c = 7.1443 Å
α = 90.00°, β = 90.00°, γ = 120.00°
Space group P3m1 (No. 156)
One atom of each set of equivalent atoms:
Sm 0.0080 0.5040 0.0000 x3
Te 0.3333 0.6667 0.2560 x1
Br 0.1764 0.3528 0.7743 x3
Br 0.3520 0.1760 0.2084 x3
Br 0.6667 0.3333 0.7658 x1

Most intense lines, 10° ≤ 2θ ≤ 90°, by intensity:
| two_theta | intensity | h k l |
| --- | --- | --- |
| 26.9 | 100 | 2 0 1 |
| 34.7 | 63 | 2 0 2 |
| 12.4 | 61 | 0 0 1 |
| 41.8 | 38 | 2 2 0 |
| 45.1 | 29 | 0 2 3 |
| 11.8 | 29 | 1 0 0 |
| 50.4 | 17 | 0 4 1 |
| 43.7 | 16 | 2 2 1 |
| 55.4 | 16 | 0 4 2 |
| 71.7 | 14 | 4 2 2 |
| 67.4 | 13 | 4 2 1 |
| 68.1 | 13 | 2 2 4 |